This entry pairs a crystal structure of Tb2ErSc2 with its theoretical powder diffraction line list. Radiation: a wavelength of 1.5418 Å. Structure: the GGA-PBE geometry in Alexandria.
Kinematic intensities with the Lorentz-polarization factor, no thermal factor.

Main lines, low angle first (2θ = 10–90°):
4.813 Å, I = 32; 3.489 Å, I = 63; 2.801 Å, I = 42; 2.736 Å, I = 64; 2.600 Å, I = 100; 2.184 Å, I = 35; 1.878 Å, I = 21; 1.575 Å, I = 22; 1.549 Å, I = 19; 1.442 Å, I = 19

Structural model:
```
data_Tb2ErSc2
_chemical_formula_sum 'Tb4 Er2 Sc4'
_space_group_name_H-M_alt 'P 1'
_space_group_IT_number 1
_cell_length_a 7.8563
_cell_length_b 7.8563
_cell_length_c 7.8563
_cell_angle_alpha 138.23
_cell_angle_beta 88.33
_cell_angle_gamma 106.46
loop_
_space_group_symop_operation_xyz
'x,y,z'
loop_
_atom_site_label
_atom_site_fract_x
_atom_site_fract_y
_atom_site_fract_z
Tb1 0.2371 0.1611 0.0760
Tb2 0.4149 0.8389 0.5760
Tb3 0.5851 0.1611 0.4240
Tb4 0.7629 0.8389 0.9240
Er1 0.1045 0.8545 0.2500
Er2 0.8955 0.1455 0.7500
Sc1 0.0610 0.4469 0.6141
Sc2 0.3327 0.4469 0.8859
Sc3 0.6673 0.5531 0.1141
Sc4 0.9390 0.5531 0.3859
```